Computed X-ray powder pattern
Compound: MgNi2Mo2O8
Radiation: a wavelength of 1.5418 Å
Structure: a crystal structure in the Materials Project, relaxed with GGA+U
Kinematic intensities with the Lorentz-polarization factor, no thermal factor.

Atomic structure:
```
data_MgNi2Mo2O8
_chemical_formula_sum 'Mg1 Ni2 Mo2 O8'
_symmetry_space_group_name_H-M 'P 1'
_symmetry_Int_Tables_number 1
_symmetry_space_group_name_Hall 'P 1'
_cell_length_a 4.983
_cell_length_b 5.110
_cell_length_c 5.669
_cell_angle_alpha 87.12
_cell_angle_beta 87.08
_cell_angle_gamma 89.29
loop_
_atom_site_label
_atom_site_type_symbol
_atom_site_fract_x
_atom_site_fract_y
_atom_site_fract_z
Mg1 Mg 0.000 0.000 0.000
Ni1 Ni 0.945 0.811 0.608
Ni2 Ni 0.987 0.327 0.373
Mo1 Mo 0.459 0.344 0.830
Mo2 Mo 0.485 0.797 0.175
O1 O 0.166 0.169 0.676
O2 O 0.226 0.662 0.387
O3 O 0.234 0.664 0.906
O4 O 0.287 0.168 0.145
O5 O 0.659 0.980 0.856
O6 O 0.706 0.493 0.098
O7 O 0.710 0.480 0.611
O8 O 0.783 0.974 0.321
```

Principal peaks in the range 2θ from 10° to 90°, low angle first:
Position (°2θ), d_spacing, I (rel.), (hkl)
23.21, 3.833, 46, 1 0 1
24.42, 3.646, 43, 1 0 -1
28.54, 3.128, 38, 1 1 1
29.74, 3.004, 100, 1 -1 1
30.48, 2.932, 58, 1 1 -1
35.17, 2.552, 31, 0 2 0
36.10, 2.488, 25, 2 0 0
50.15, 1.819, 28, 2 1 2
50.98, 1.792, 32, 2 2 0
51.58, 1.772, 29, 2 -2 0